Simulated X-ray diffraction stick pattern of AcZnGa2Pt for copper Kα, from a structure optimized by DFT (GGA-PBE).

Most intense lines, 2θ = 10–90°, most intense first:
32.1 deg, intensity 100, (0 1 3)
33.1 deg, intensity 95, (1 1 2)
28.5 deg, intensity 50, (1 1 0)
40.7 deg, intensity 33, (0 2 0)
40.9 deg, intensity 33, (2 0 0)
52.9 deg, intensity 26, (2 1 3)
52.7 deg, intensity 25, (1 2 3)
46.8 deg, intensity 23, (0 1 5)
46.9 deg, intensity 23, (1 0 5)
59.0 deg, intensity 22, (2 2 0)

Crystal structure
```
data_AcZnGa2Pt
_space_group_name_H-M_alt 'I m m 2'
_space_group_IT_number 44
_space_group_name_Hall 'I 2 -2'
_cell_length_a 4.415
_cell_length_b 4.437
_cell_length_c 10.790
_cell_angle_alpha 90.00
_cell_angle_beta 90.00
_cell_angle_gamma 90.00
loop_
_atom_site_label
_atom_site_type_symbol
_atom_site_fract_x
_atom_site_fract_y
_atom_site_fract_z
Ac1 Ac 0.000 0.000 0.000
Zn1 Zn 0.000 0.500 0.752
Ga1 Ga 0.000 0.000 0.388
Ga2 Ga 0.000 0.500 0.248
Pt1 Pt 0.000 0.000 0.623
```



Simulated X-ray diffraction stick pattern of AcPuGa3 for copper Kα, from a structure optimized by DFT (GGA-PBE).

Most intense lines, 2θ = 10–90°, most intense first:
30.5 deg, intensity 100, (1 3 1)
30.9 deg, intensity 59, (1 7 0)
40.0 deg, intensity 33, (0 10 1)
24.7 deg, intensity 31, (0 4 1)
53.0 deg, intensity 27, (1 7 2)
40.1 deg, intensity 23, (2 0 0)
57.9 deg, intensity 22, (2 10 1)
41.9 deg, intensity 21, (0 0 2)
47.7 deg, intensity 20, (2 4 1)
67.2 deg, intensity 16, (3 7 0)

Crystal structure
```
data_AcPuGa3
_space_group_name_H-M_alt 'C m c m'
_space_group_IT_number 63
_space_group_name_Hall '-C 2c 2'
_cell_length_a 4.493
_cell_length_b 26.483
_cell_length_c 4.308
_cell_angle_alpha 90.00
_cell_angle_beta 90.00
_cell_angle_gamma 90.00
loop_
_atom_site_label
_atom_site_type_symbol
_atom_site_fract_x
_atom_site_fract_y
_atom_site_fract_z
Ac1 Ac 0.000 0.075 0.250
Pu1 Pu 0.000 0.209 0.750
Ga1 Ga 0.000 0.324 0.750
Ga2 Ga 0.000 0.377 0.250
Ga3 Ga 0.000 0.476 0.250
```



Simulated X-ray diffraction stick pattern of Ac2Ga2Rh3 for copper Kα, from a structure optimized by DFT (GGA-PBE).

Most intense lines, 2θ = 10–90°, most intense first:
33.8 deg, intensity 100, (1 5 1)
32.0 deg, intensity 91, (1 1 2)
41.8 deg, intensity 33, (2 0 0)
41.0 deg, intensity 33, (0 4 3)
30.9 deg, intensity 23, (0 6 1)
60.0 deg, intensity 22, (2 4 3)
46.6 deg, intensity 19, (0 6 3)
71.3 deg, intensity 17, (1 5 5)
54.6 deg, intensity 16, (0 10 2)
70.2 deg, intensity 15, (3 1 2)

Crystal structure
```
data_Ac2Ga2Rh3
_space_group_name_H-M_alt 'C m c m'
_space_group_IT_number 63
_space_group_name_Hall '-C 2c 2'
_cell_length_a 4.321
_cell_length_b 18.825
_cell_length_c 7.472
_cell_angle_alpha 90.00
_cell_angle_beta 90.00
_cell_angle_gamma 90.00
loop_
_atom_site_label
_atom_site_type_symbol
_atom_site_fract_x
_atom_site_fract_y
_atom_site_fract_z
Ac1 Ac 0.000 0.063 0.250
Ac2 Ac 0.000 0.150 0.750
Ga1 Ga 0.000 0.307 0.559
Rh1 Rh 0.000 0.225 0.250
Rh2 Rh 0.000 0.436 0.065
```